For PmCoIrO6, a DFT-relaxed cell (GGA+U, Alexandria) gives the theoretical XRD peak list in this record (Cu Kα, 1.54184 Å).
Peak positions follow from Bragg's law for the DFT cell and can differ from measured ones.

Crystal structure
```
PmCoIrO6
1.0
5.5247 0.0000 0.0000
-2.7624 4.7845 0.0000
0.0000 0.0000 8.4046
Pm Co Ir O
2 2 2 12
Direct
0.3333 0.6667 0.2500
0.6667 0.3333 0.7500
0.0000 0.0000 0.0000
0.0000 0.0000 0.5000
0.3333 0.6667 0.7500
0.6667 0.3333 0.2500
0.0543 0.3674 0.6199
0.0543 0.6870 0.8801
0.3130 0.3674 0.8801
0.3130 0.9457 0.6199
0.3674 0.0543 0.1199
0.3674 0.3130 0.3801
0.6327 0.6870 0.6199
0.6327 0.9457 0.8801
0.6870 0.0543 0.3801
0.6870 0.6327 0.1199
0.9457 0.3130 0.1199
0.9457 0.6327 0.3801
```

Peak list (6 most intense, 2θ = 15–90°, by angle)
- (0 0 2), 21.14°, intensity 447
- (1 0 2), 28.27°, intensity 1000
- (1 1 0), 32.41°, intensity 816
- (1 1 2), 39.02°, intensity 659
- (2 0 2), 43.53°, intensity 309
- (2 -1 4), 54.90°, intensity 560